[1]
Computed powder diffraction line list
Compound: Ba2YCu2F11
Radiation: CuKα
Structure: a GGA-PBE-relaxed structure

The 10 most intense peaks (2θ = 10–90°), in order of rising 2θ:
index	2θ/deg	I/Imax
1 0 3	23.08	100
2 -1 1	23.57	37
1 1 2	26.04	88
0 2 1	27.03	95
0 1 4	28.62	56
2 0 2	29.23	83
2 1 2	37.32	49
0 1 6	40.77	44
3 -2 4	43.70	52
2 2 0	46.34	43

Structural model:
```
data_Ba2YCu2F11
_chemical_formula_sum 'Ba6 Y3 Cu6 F33'
_symmetry_space_group_name_H-M 'P 32'
_symmetry_Int_Tables_number 145
_cell_length_a 7.8366
_cell_length_b 7.8366
_cell_length_c 14.0477
_cell_angle_alpha 90.00
_cell_angle_beta 90.00
_cell_angle_gamma 120.00
loop_
_symmetry_equiv_pos_as_xyz
'x,y,z'
'-y,x-y,z+2/3'
'-x+y,-x,z+1/3'
loop_
_atom_site_label
_atom_site_fract_x
_atom_site_fract_y
_atom_site_fract_z
Ba1 0.9996 0.1472 0.0000
Ba2 0.2270 0.5349 0.5250
Y1 0.5203 0.1872 0.0730
Cu1 0.0186 0.6902 0.0798
Cu2 0.4423 0.0867 0.5752
F1 0.0464 0.6376 0.7060
F2 0.0719 0.6370 0.2116
F3 0.1178 0.3021 0.2100
F4 0.1783 0.0599 0.7869
F5 0.2006 0.6128 0.0366
F6 0.2436 0.0026 0.9968
F7 0.3342 0.2456 0.6170
F8 0.3663 0.0026 0.1919
F9 0.4406 0.4145 0.0748
F10 0.4980 0.1631 0.4205
F11 0.6109 0.2900 0.9183
```


[2]
Computed powder diffraction line list
Compound: Ba2ZnCu3F14
Radiation: CuKα
Structure: a GGA-PBE-relaxed structure

The 10 most intense peaks (2θ = 10–90°), in order of rising 2θ:
index	2θ/deg	I/Imax
0 0 4	24.46	18
3 1 0	25.64	100
2 0 -4	27.43	23
2 0 4	27.97	17
4 0 -2	28.29	30
1 1 -4	30.39	32
1 1 4	30.64	28
2 2 3	41.16	16
6 0 2	41.37	20
5 1 -4	44.14	17

Structural model:
```
data_Ba2ZnCu3F14
_chemical_formula_sum 'Ba8 Zn4 Cu12 F56'
_symmetry_space_group_name_H-M 'C 1 2/c 1'
_symmetry_Int_Tables_number 15
_cell_length_a 13.8308
_cell_length_b 5.2855
_cell_length_c 14.5625
_cell_angle_alpha 90.00
_cell_angle_beta 91.33
_cell_angle_gamma 90.00
loop_
_symmetry_equiv_pos_as_xyz
'x,y,z'
'-x,-y,-z'
'-x,y,-z+1/2'
'x,-y,z+1/2'
'x+1/2,y+1/2,z'
'-x+1/2,-y+1/2,-z'
'-x+1/2,y+1/2,-z+1/2'
'x+1/2,-y+1/2,z+1/2'
loop_
_atom_site_label
_atom_site_fract_x
_atom_site_fract_y
_atom_site_fract_z
Ba1 0.1912 0.0722 0.1231
Zn1 0.0000 0.4233 0.7500
Cu1 0.0000 0.5000 0.0000
Cu2 0.1194 0.0187 0.3725
F1 0.0079 0.0933 0.6608
F2 0.0510 0.4434 0.1229
F3 0.0798 0.2114 0.4816
F4 0.1159 0.3092 0.2896
F5 0.1290 0.2779 0.9567
F6 0.1636 0.2034 0.7747
F7 0.2497 0.0875 0.4037
```


[3]
Computed powder diffraction line list
Compound: BaZnCuF7
Radiation: CuKα
Structure: a GGA-PBE-relaxed structure

The 10 most intense peaks (2θ = 10–90°), in order of rising 2θ:
index	2θ/deg	I/Imax
1 2 -1	25.31	100
1 1 2	26.65	55
0 1 3	29.27	26
1 3 0	31.27	20
2 0 0	31.93	22
2 2 -2	40.57	20
1 4 1	40.90	29
0 2 4	41.71	18
3 2 -1	52.66	22
1 2 5	54.51	25

Structural model:
```
data_BaZnCuF7
_chemical_formula_sum 'Ba4 Zn4 Cu4 F28'
_symmetry_space_group_name_H-M 'P 1 21/c 1'
_symmetry_Int_Tables_number 14
_cell_length_a 5.6148
_cell_length_b 9.9796
_cell_length_c 9.6297
_cell_angle_alpha 90.00
_cell_angle_beta 93.27
_cell_angle_gamma 90.00
loop_
_symmetry_equiv_pos_as_xyz
'x,y,z'
'-x,-y,-z'
'-x,y+1/2,-z+1/2'
'x,-y+1/2,z+1/2'
loop_
_atom_site_label
_atom_site_fract_x
_atom_site_fract_y
_atom_site_fract_z
Ba1 0.2405 0.1821 0.0005
Zn1 0.1973 0.6014 0.8108
Cu1 0.3056 0.6128 0.1877
F1 0.0253 0.7073 0.2482
F2 0.1138 0.5424 0.6234
F3 0.1393 0.0488 0.6295
F4 0.2395 0.6917 0.0021
F5 0.3886 0.5424 0.3657
F6 0.3921 0.0569 0.3778
F7 0.4779 0.7241 0.7473
```


[4]
Computed powder diffraction line list
Compound: Ba2GdCu2HgO7
Radiation: CuKα
Structure: a GGA-PBE-relaxed structure

The 10 most intense peaks (2θ = 10–90°), in order of rising 2θ:
index	2θ/deg	I/Imax
1 0 1	23.83	16
1 0 2	26.69	19
1 0 3	30.91	100
1 1 0	32.47	64
1 1 4	43.10	15
2 0 0	46.59	32
1 1 6	53.97	14
1 0 7	54.96	16
2 1 3	56.96	38
2 1 7	74.85	12

Structural model:
```
data_Ba2GdCu2HgO7
_chemical_formula_sum 'Ba2 Gd1 Cu2 Hg1 O7'
_symmetry_space_group_name_H-M 'P 4/m m m'
_symmetry_Int_Tables_number 123
_symmetry_space_group_name_Hall '-P 4 2'
_cell_length_a 3.8992
_cell_length_b 3.8992
_cell_length_c 12.9438
_cell_angle_alpha 90.00
_cell_angle_beta 90.00
_cell_angle_gamma 90.00
loop_
_atom_site_label
_atom_site_fract_x
_atom_site_fract_y
_atom_site_fract_z
Ba1 0.0000 0.0000 0.2026
Gd1 0.0000 0.0000 0.5000
Cu1 0.5000 0.5000 0.3714
Hg1 0.5000 0.5000 0.0000
O1 0.0000 0.0000 0.0000
O2 0.0000 0.5000 0.3866
O3 0.5000 0.5000 0.1639
```


[5]
Computed powder diffraction line list
Compound: Ba2GdMgCu3O7
Radiation: CuKα
Structure: a GGA-PBE-relaxed structure

The 10 most intense peaks (2θ = 10–90°), in order of rising 2θ:
index	2θ/deg	I/Imax
0 3 1	29.59	45
1 3 0	31.28	46
1 0 1	32.02	100
0 4 1	34.77	68
1 4 0	36.24	56
1 4 1	42.44	30
2 0 0	48.26	30
1 7 0	54.55	29
1 4 2	57.85	31
2 4 1	60.84	26

Structural model:
```
data_Ba2GdMgCu3O7
_chemical_formula_sum 'Ba2 Gd1 Mg1 Cu3 O7'
_symmetry_space_group_name_H-M 'P m m 2'
_symmetry_Int_Tables_number 25
_cell_length_a 3.7719
_cell_length_b 13.1547
_cell_length_c 4.1621
_cell_angle_alpha 90.00
_cell_angle_beta 90.00
_cell_angle_gamma 90.00
loop_
_symmetry_equiv_pos_as_xyz
'x,y,z'
'-x,-y,z'
'-x,y,z'
'x,-y,z'
loop_
_atom_site_label
_atom_site_fract_x
_atom_site_fract_y
_atom_site_fract_z
Ba1 0.0000 0.2285 0.0000
Gd1 0.0000 0.5000 0.0379
Mg1 0.0000 0.0000 0.2814
Cu1 0.5000 0.0000 0.6718
Cu2 0.5000 0.3883 0.5337
O1 0.0000 0.3866 0.5390
O2 0.5000 0.0000 0.1429
O3 0.5000 0.1445 0.6176
O4 0.5000 0.3861 0.0353
```


[6]
Computed powder diffraction line list
Compound: Ba4GdCu3O9
Radiation: CuKα
Structure: a GGA-PBE-relaxed structure

The 10 most intense peaks (2θ = 10–90°), in order of rising 2θ:
index	2θ/deg	I/Imax
1 1 0	15.29	6
2 2 0	30.85	100
3 1 0	34.60	3
2 2 2	38.03	5
4 0 0	44.19	27
4 2 2	54.87	39
4 4 0	64.28	17
6 2 0	72.99	17
4 4 4	81.32	6
6 4 2	89.46	21

Structural model:
```
data_Ba4GdCu3O9
_chemical_formula_sum 'Ba8 Gd2 Cu6 O18'
_symmetry_space_group_name_H-M 'P m -3 n'
_symmetry_Int_Tables_number 223
_symmetry_space_group_name_Hall '-P 4n 2 3'
_cell_length_a 8.1975
_cell_length_b 8.1975
_cell_length_c 8.1975
_cell_angle_alpha 90.00
_cell_angle_beta 90.00
_cell_angle_gamma 90.00
loop_
_atom_site_label
_atom_site_fract_x
_atom_site_fract_y
_atom_site_fract_z
Ba1 0.2500 0.2500 0.2500
Gd1 0.0000 0.0000 0.0000
Cu1 0.0000 0.0000 0.5000
O1 0.0000 0.0000 0.2742
O2 0.0000 0.2500 0.5000
```


[7]
Computed powder diffraction line list
Compound: BaGd2CuO5
Radiation: CuKα
Structure: a GGA-PBE-relaxed structure

The 10 most intense peaks (2θ = 10–90°), in order of rising 2θ:
index	2θ/deg	I/Imax
3 1 1	29.27	100
1 1 2	29.75	66
0 2 0	31.01	47
4 0 1	31.38	22
2 0 3	39.62	14
4 2 1	44.70	31
3 2 2	45.66	14
3 3 1	54.09	18
4 2 3	57.71	14
7 1 2	60.28	17

Structural model:
```
data_BaGd2CuO5
_chemical_formula_sum 'Ba4 Gd8 Cu4 O20'
_symmetry_space_group_name_H-M 'P n m a'
_symmetry_Int_Tables_number 62
_cell_length_a 12.3767
_cell_length_b 5.7672
_cell_length_c 7.3373
_cell_angle_alpha 90.00
_cell_angle_beta 90.00
_cell_angle_gamma 90.00
loop_
_symmetry_equiv_pos_as_xyz
'x,y,z'
'-x,-y,-z'
'-x+1/2,-y,z+1/2'
'x+1/2,y,-z+1/2'
'x+1/2,-y+1/2,-z+1/2'
'-x+1/2,y+1/2,z+1/2'
'-x,y+1/2,-z'
'x,-y+1/2,z'
loop_
_atom_site_label
_atom_site_fract_x
_atom_site_fract_y
_atom_site_fract_z
Ba1 0.0938 0.2500 0.0722
Gd1 0.0741 0.7500 0.3962
Gd2 0.2124 0.2500 0.6149
Cu1 0.1610 0.7500 0.7835
O1 0.0673 0.5079 0.6662
O2 0.0999 0.7500 0.0825
O3 0.2276 0.0059 0.3545
```


[8]
Computed powder diffraction line list
Compound: Ba4GdYCu6O14
Radiation: CuKα
Structure: a GGA-PBE-relaxed structure

The 10 most intense peaks (2θ = 10–90°), in order of rising 2θ:
index	2θ/deg	I/Imax
0 1 6	32.11	47
1 0 6	32.47	100
1 1 6	39.90	13
0 0 12	45.91	10
0 2 0	46.19	15
2 0 0	47.12	14
1 1 12	57.38	18
1 2 6	57.56	20
2 1 6	58.16	17
2 2 0	68.11	9

Structural model:
```
data_Ba4GdYCu6O14
_chemical_formula_sum 'Ba4 Gd1 Y1 Cu6 O14'
_symmetry_space_group_name_H-M 'P m m m'
_symmetry_Int_Tables_number 47
_cell_length_a 3.8574
_cell_length_b 3.9309
_cell_length_c 23.7217
_cell_angle_alpha 90.00
_cell_angle_beta 90.00
_cell_angle_gamma 90.00
loop_
_symmetry_equiv_pos_as_xyz
'x,y,z'
'-x,-y,-z'
'-x,-y,z'
'x,y,-z'
'x,-y,-z'
'-x,y,z'
'-x,y,-z'
'x,-y,z'
loop_
_atom_site_label
_atom_site_fract_x
_atom_site_fract_y
_atom_site_fract_z
Ba1 0.0000 0.0000 0.1597
Ba2 0.0000 0.0000 0.3405
Gd1 0.0000 0.0000 0.0000
Y1 0.0000 0.0000 0.5000
Cu1 0.5000 0.5000 0.0746
Cu2 0.5000 0.5000 0.2500
Cu3 0.5000 0.5000 0.4261
O1 0.0000 0.5000 0.0617
O2 0.0000 0.5000 0.4398
O3 0.5000 0.0000 0.0622
O4 0.5000 0.0000 0.2501
O5 0.5000 0.0000 0.4393
O6 0.5000 0.5000 0.1707
O7 0.5000 0.5000 0.3294
```


Repeat the second record exactly.
Computed powder diffraction line list
Compound: Ba2ZnCu3F14
Radiation: CuKα
Structure: a GGA-PBE-relaxed structure

The 10 most intense peaks (2θ = 10–90°), in order of rising 2θ:
index	2θ/deg	I/Imax
0 0 4	24.46	18
3 1 0	25.64	100
2 0 -4	27.43	23
2 0 4	27.97	17
4 0 -2	28.29	30
1 1 -4	30.39	32
1 1 4	30.64	28
2 2 3	41.16	16
6 0 2	41.37	20
5 1 -4	44.14	17

Structural model:
```
data_Ba2ZnCu3F14
_chemical_formula_sum 'Ba8 Zn4 Cu12 F56'
_symmetry_space_group_name_H-M 'C 1 2/c 1'
_symmetry_Int_Tables_number 15
_cell_length_a 13.8308
_cell_length_b 5.2855
_cell_length_c 14.5625
_cell_angle_alpha 90.00
_cell_angle_beta 91.33
_cell_angle_gamma 90.00
loop_
_symmetry_equiv_pos_as_xyz
'x,y,z'
'-x,-y,-z'
'-x,y,-z+1/2'
'x,-y,z+1/2'
'x+1/2,y+1/2,z'
'-x+1/2,-y+1/2,-z'
'-x+1/2,y+1/2,-z+1/2'
'x+1/2,-y+1/2,z+1/2'
loop_
_atom_site_label
_atom_site_fract_x
_atom_site_fract_y
_atom_site_fract_z
Ba1 0.1912 0.0722 0.1231
Zn1 0.0000 0.4233 0.7500
Cu1 0.0000 0.5000 0.0000
Cu2 0.1194 0.0187 0.3725
F1 0.0079 0.0933 0.6608
F2 0.0510 0.4434 0.1229
F3 0.0798 0.2114 0.4816
F4 0.1159 0.3092 0.2896
F5 0.1290 0.2779 0.9567
F6 0.1636 0.2034 0.7747
F7 0.2497 0.0875 0.4037
```